# 1
Diffraction record for In3Ag3AuO8. The powder diffraction line list is computed, not measured: it uses a cell relaxed with PBE and a wavelength of 1.5418 Å.
Kinematic intensities with the Lorentz-polarization factor, no thermal factor.

Structure:
a = 11.4730 Å, b = 6.6563 Å, c = 7.5885 Å
α = 90.00°, β = 122.27°, γ = 90.00°
Space group C2/m (No. 12)
One atom of each set of equivalent atoms:
In (0.0000, 0.0000, 0.0000) [2 per cell]
In (0.2500, 0.2500, 0.0000) [4 per cell]
Ag (0.0000, 0.0000, 0.5000) [2 per cell]
Ag (0.2500, 0.2500, 0.5000) [4 per cell]
Au (0.0000, 0.5000, 0.0000) [2 per cell]
O (0.1037, 0.5000, 0.8486) [4 per cell]
O (0.1055, 0.0000, 0.8295) [4 per cell]
O (0.1425, 0.2477, 0.1737) [8 per cell]

Largest 8 diffraction maxima, by angle, 10 to 90 degrees two-theta:
- 2θ = 13.80°, d 6.416, I 36
- 2θ = 27.81°, d 3.208, I 60
- 2θ = 32.27°, d 2.774, I 49
- 2θ = 32.63°, d 2.744, I 100
- 2θ = 36.07°, d 2.490, I 52
- 2θ = 37.07°, d 2.425, I 25
- 2θ = 49.83°, d 1.830, I 33
- 2θ = 55.44°, d 1.657, I 26


# 2
Diffraction record for InAgPdAu. The powder diffraction line list is computed, not measured: it uses a cell relaxed with PBE and a wavelength of 1.5418 Å.
Kinematic intensities with the Lorentz-polarization factor, no thermal factor.

Structure:
a = 4.2566 Å, b = 4.2566 Å, c = 7.9032 Å
α = 90.00°, β = 90.00°, γ = 90.00°
Space group I-4m2 (No. 119)
One atom of each set of equivalent atoms:
In (0.0000, 0.0000, 0.0000) [2 per cell]
Ag (0.0000, 0.0000, 0.5000) [2 per cell]
Pd (0.0000, 0.5000, 0.2500) [2 per cell]
Au (0.0000, 0.5000, 0.7500) [2 per cell]

Largest 8 diffraction maxima, by angle, 10 to 90 degrees two-theta:
- 2θ = 37.56°, d 2.394, I 100
- 2θ = 42.47°, d 2.128, I 35
- 2θ = 45.93°, d 1.976, I 14
- 2θ = 61.63°, d 1.505, I 11
- 2θ = 64.33°, d 1.448, I 20
- 2θ = 74.46°, d 1.274, I 26
- 2θ = 79.41°, d 1.207, I 11
- 2θ = 80.17°, d 1.197, I 11


# 3
Diffraction record for Rb2InAgAu2. The powder diffraction line list is computed, not measured: it uses a cell relaxed with PBE and a wavelength of 1.5418 Å.
Kinematic intensities with the Lorentz-polarization factor, no thermal factor.

Structure:
a = 6.9693 Å, b = 14.2434 Å, c = 7.9234 Å
α = 90.00°, β = 90.00°, γ = 90.00°
Space group Ibam (No. 72)
One atom of each set of equivalent atoms:
Rb (0.2247, 0.1772, 0.0000) [8 per cell]
In (0.0000, 0.5000, 0.2500) [4 per cell]
Ag (0.0000, 0.0000, 0.2500) [4 per cell]
Au (0.2449, 0.4281, 0.0000) [8 per cell]

Largest 8 diffraction maxima, by angle, 10 to 90 degrees two-theta:
- 2θ = 12.43°, d 7.122, I 88
- 2θ = 21.07°, d 4.217, I 23
- 2θ = 22.44°, d 3.962, I 20
- 2θ = 30.36°, d 2.944, I 100
- 2θ = 34.27°, d 2.617, I 75
- 2θ = 36.59°, d 2.456, I 28
- 2θ = 44.65°, d 2.029, I 35
- 2θ = 48.16°, d 1.890, I 26


# 4
Diffraction record for In2Ag7SnAu2. The powder diffraction line list is computed, not measured: it uses a cell relaxed with PBE and a wavelength of 1.5418 Å.
Kinematic intensities with the Lorentz-polarization factor, no thermal factor.

Structure:
a = 4.8539 Å, b = 18.2722 Å, c = 5.2511 Å
α = 90.00°, β = 90.00°, γ = 90.00°
Space group Imm2 (No. 44)
One atom of each set of equivalent atoms:
In (0.0000, 0.1691, 0.0000) [4 per cell]
Ag (0.0000, 0.0000, 0.0441) [2 per cell]
Ag (0.0000, 0.0811, 0.5463) [4 per cell]
Ag (0.0000, 0.3381, 0.9073) [4 per cell]
Ag (0.0000, 0.4177, 0.3825) [4 per cell]
Sn (0.0000, 0.5000, 0.8775) [2 per cell]
Au (0.0000, 0.2475, 0.4632) [4 per cell]

Largest 8 diffraction maxima, by angle, 10 to 90 degrees two-theta:
- 2θ = 34.15°, d 2.626, I 22
- 2θ = 37.04°, d 2.427, I 34
- 2θ = 38.90°, d 2.315, I 100
- 2θ = 39.33°, d 2.291, I 21
- 2θ = 51.26°, d 1.782, I 14
- 2θ = 60.83°, d 1.523, I 8
- 2θ = 68.00°, d 1.379, I 19
- 2θ = 73.41°, d 1.290, I 8


# 5
Diffraction record for K6AgAu. The powder diffraction line list is computed, not measured: it uses a cell relaxed with PBE and a wavelength of 1.5418 Å.
Kinematic intensities with the Lorentz-polarization factor, no thermal factor.

Structure:
a = 4.5127 Å, b = 13.1859 Å, c = 14.5120 Å
α = 90.00°, β = 90.00°, γ = 90.00°
Space group Amm2 (No. 38)
One atom of each set of equivalent atoms:
K (0.0000, 0.0000, 0.0000) [2 per cell]
K (0.0000, 0.1504, 0.7054) [4 per cell]
K (0.5000, 0.0000, 0.2721) [2 per cell]
K (0.5000, 0.2085, 0.4644) [4 per cell]
Ag (0.0000, 0.0000, 0.4764) [2 per cell]
Au (0.5000, 0.0000, 0.5946) [2 per cell]

Largest 8 diffraction maxima, by angle, 10 to 90 degrees two-theta:
- 2θ = 12.20°, d 7.256, I 80
- 2θ = 13.43°, d 6.593, I 100
- 2θ = 18.18°, d 4.880, I 51
- 2θ = 26.91°, d 3.313, I 98
- 2θ = 27.87°, d 3.201, I 80
- 2θ = 33.97°, d 2.639, I 61
- 2θ = 34.53°, d 2.598, I 94
- 2θ = 42.37°, d 2.133, I 43


# 6
Diffraction record for K11AgAu5. The powder diffraction line list is computed, not measured: it uses a cell relaxed with PBE and a wavelength of 1.5418 Å.
Kinematic intensities with the Lorentz-polarization factor, no thermal factor.

Structure:
a = 12.7467 Å, b = 14.4217 Å, c = 7.6411 Å
α = 90.00°, β = 101.75°, γ = 90.00°
Space group C2/m (No. 12)
One atom of each set of equivalent atoms:
K (0.0000, 0.0000, 0.0000) [2 per cell]
K (0.0308, 0.2500, 0.7596) [8 per cell]
K (0.1618, 0.5000, 0.9149) [4 per cell]
K (0.2401, 0.3781, 0.4412) [8 per cell]
Ag (0.0000, 0.0000, 0.5000) [2 per cell]
Au (0.0000, 0.5000, 0.5000) [2 per cell]
Au (0.2055, 0.2005, 0.1295) [8 per cell]

Largest 8 diffraction maxima, by angle, 10 to 90 degrees two-theta:
- 2θ = 17.08°, d 5.192, I 100
- 2θ = 18.81°, d 4.718, I 91
- 2θ = 20.30°, d 4.374, I 51
- 2θ = 28.63°, d 3.118, I 67
- 2θ = 29.05°, d 3.074, I 45
- 2θ = 29.92°, d 2.986, I 51
- 2θ = 35.60°, d 2.522, I 53
- 2θ = 35.75°, d 2.511, I 50


# 7
Diffraction record for KAg8Au4. The powder diffraction line list is computed, not measured: it uses a cell relaxed with PBE and a wavelength of 1.5418 Å.
Kinematic intensities with the Lorentz-polarization factor, no thermal factor.

Structure:
a = 9.7628 Å, b = 9.7628 Å, c = 5.5190 Å
α = 90.00°, β = 90.00°, γ = 90.00°
Space group I4/mmm (No. 139)
One atom of each set of equivalent atoms:
K (0.0000, 0.0000, 0.0000) [2 per cell]
Ag (0.0000, 0.2265, 0.5000) [8 per cell]
Ag (0.0000, 0.3550, 0.0000) [8 per cell]
Au (0.2500, 0.2500, 0.2500) [8 per cell]

Largest 8 diffraction maxima, by angle, 10 to 90 degrees two-theta:
- 2θ = 18.17°, d 4.881, I 76
- 2θ = 36.83°, d 2.441, I 69
- 2θ = 36.98°, d 2.431, I 43
- 2θ = 37.44°, d 2.402, I 84
- 2θ = 41.36°, d 2.183, I 67
- 2θ = 41.50°, d 2.176, I 32
- 2θ = 41.91°, d 2.155, I 100
- 2θ = 69.81°, d 1.347, I 27


# 8
Diffraction record for K3Ag2Au3. The powder diffraction line list is computed, not measured: it uses a cell relaxed with PBE and a wavelength of 1.5418 Å.
Kinematic intensities with the Lorentz-polarization factor, no thermal factor.

Structure:
a = 8.9023 Å, b = 16.6307 Å, c = 6.5007 Å
α = 90.00°, β = 90.00°, γ = 90.00°
Space group Pnma (No. 62)
One atom of each set of equivalent atoms:
K (0.0268, 0.1055, 0.1132) [8 per cell]
K (0.1218, 0.7500, 0.4118) [4 per cell]
Ag (0.1843, 0.0989, 0.6164) [8 per cell]
Au (0.1144, 0.5466, 0.4066) [8 per cell]
Au (0.2319, 0.2500, 0.4288) [4 per cell]

Largest 8 diffraction maxima, by angle, 10 to 90 degrees two-theta:
- 2θ = 16.89°, d 5.250, I 100
- 2θ = 17.72°, d 5.006, I 61
- 2θ = 19.99°, d 4.443, I 60
- 2θ = 21.06°, d 4.218, I 73
- 2θ = 33.51°, d 2.674, I 57
- 2θ = 33.64°, d 2.665, I 78
- 2θ = 36.51°, d 2.461, I 74
- 2θ = 43.16°, d 2.096, I 78


# 9
Diffraction record for K5Rb2AgAu2. The powder diffraction line list is computed, not measured: it uses a cell relaxed with PBE and a wavelength of 1.5418 Å.
Kinematic intensities with the Lorentz-polarization factor, no thermal factor.

Structure:
a = 13.7630 Å, b = 13.7630 Å, c = 4.8504 Å
α = 90.00°, β = 90.00°, γ = 90.00°
Space group P4/mbm (No. 127)
One atom of each set of equivalent atoms:
K (0.0000, 0.5000, 0.0000) [2 per cell]
K (0.0666, 0.2011, 0.0000) [8 per cell]
Rb (0.1746, 0.6746, 0.5000) [4 per cell]
Ag (0.0000, 0.0000, 0.5000) [2 per cell]
Au (0.1270, 0.3730, 0.5000) [4 per cell]

Largest 8 diffraction maxima, by angle, 10 to 90 degrees two-theta:
- 2θ = 14.39°, d 6.155, I 31
- 2θ = 18.28°, d 4.852, I 30
- 2θ = 20.41°, d 4.351, I 39
- 2θ = 25.92°, d 3.438, I 19
- 2θ = 27.53°, d 3.240, I 100
- 2θ = 29.78°, d 3.000, I 42
- 2θ = 31.89°, d 2.806, I 20
- 2θ = 44.16°, d 2.051, I 19


# 10
Diffraction record for KSiAgAu. The powder diffraction line list is computed, not measured: it uses a cell relaxed with PBE and a wavelength of 1.5418 Å.
Kinematic intensities with the Lorentz-polarization factor, no thermal factor.

Structure:
a = 4.4807 Å, b = 4.5862 Å, c = 10.0598 Å
α = 90.00°, β = 90.00°, γ = 90.00°
Space group Imm2 (No. 44)
One atom of each set of equivalent atoms:
K (0.0000, 0.0000, 0.0000) [2 per cell]
Si (0.0000, 0.5000, 0.2429) [2 per cell]
Ag (0.0000, 0.0000, 0.3537) [2 per cell]
Au (0.0000, 0.0000, 0.6472) [2 per cell]

Largest 8 diffraction maxima, by angle, 10 to 90 degrees two-theta:
- 2θ = 21.29°, d 4.173, I 56
- 2θ = 21.71°, d 4.093, I 38
- 2θ = 27.84°, d 3.205, I 100
- 2θ = 33.10°, d 2.706, I 76
- 2θ = 33.38°, d 2.685, I 66
- 2θ = 45.86°, d 1.979, I 33
- 2θ = 52.48°, d 1.744, I 36
- 2θ = 53.06°, d 1.726, I 35


# 11
Diffraction record for K2Zn3AgAu12. The powder diffraction line list is computed, not measured: it uses a cell relaxed with PBE and a wavelength of 1.5418 Å.
Kinematic intensities with the Lorentz-polarization factor, no thermal factor.

Structure:
a = 8.5445 Å, b = 8.5445 Å, c = 21.0241 Å
α = 90.00°, β = 90.00°, γ = 120.00°
Space group R-3m (No. 166, hexagonal axes)
One atom of each set of equivalent atoms:
K (0.0000, 0.0000, 0.1202) [6 per cell]
Zn (0.0000, 0.5000, 0.0000) [9 per cell]
Ag (0.0000, 0.0000, 0.5000) [3 per cell]
Au (0.0037, 0.5019, 0.8797) [18 per cell]
Au (0.0098, 0.5049, 0.3677) [18 per cell]

Largest 8 diffraction maxima, by angle, 10 to 90 degrees two-theta:
- 2θ = 20.76°, d 4.279, I 51
- 2θ = 29.52°, d 3.025, I 100
- 2θ = 36.40°, d 2.468, I 21
- 2θ = 42.18°, d 2.143, I 62
- 2θ = 42.31°, d 2.136, I 67
- 2θ = 52.44°, d 1.745, I 21
- 2θ = 61.28°, d 1.513, I 20
- 2θ = 77.32°, d 1.234, I 32


# 12
Diffraction record for La3Ag2Au. The powder diffraction line list is computed, not measured: it uses a cell relaxed with PBE and a wavelength of 1.5418 Å.
Kinematic intensities with the Lorentz-polarization factor, no thermal factor.

Structure:
a = 5.4034 Å, b = 16.2353 Å, c = 3.7784 Å
α = 90.00°, β = 90.00°, γ = 90.00°
Space group Cmmm (No. 65)
One atom of each set of equivalent atoms:
La (0.0000, 0.0000, 0.0000) [2 per cell]
La (0.0000, 0.3391, 0.0000) [4 per cell]
Ag (0.0000, 0.1738, 0.5000) [4 per cell]
Au (0.0000, 0.5000, 0.5000) [2 per cell]

Largest 8 diffraction maxima, by angle, 10 to 90 degrees two-theta:
- 2θ = 33.13°, d 2.704, I 50
- 2θ = 33.34°, d 2.688, I 100
- 2θ = 47.56°, d 1.912, I 18
- 2θ = 48.17°, d 1.889, I 9
- 2θ = 59.32°, d 1.558, I 36
- 2θ = 59.71°, d 1.549, I 18
- 2θ = 70.01°, d 1.344, I 11
- 2θ = 80.25°, d 1.196, I 8


# 13
Diffraction record for La4Ag3Au2. The powder diffraction line list is computed, not measured: it uses a cell relaxed with PBE and a wavelength of 1.5418 Å.
Kinematic intensities with the Lorentz-polarization factor, no thermal factor.

Structure:
a = 5.1929 Å, b = 5.1929 Å, c = 10.0852 Å
α = 90.00°, β = 90.00°, γ = 120.00°
Space group P-3m1 (No. 164)
One atom of each set of equivalent atoms:
La (0.0000, 0.0000, 0.1556) [2 per cell]
La (0.3333, 0.6667, 0.3755) [2 per cell]
Ag (0.0000, 0.0000, 0.5000) [1 per cell]
Ag (0.3333, 0.6667, 0.9933) [2 per cell]
Au (0.3333, 0.6667, 0.6886) [2 per cell]

Largest 8 diffraction maxima, by angle, 10 to 90 degrees two-theta:
- 2θ = 33.27°, d 2.693, I 90
- 2θ = 34.54°, d 2.596, I 100
- 2θ = 41.06°, d 2.198, I 14
- 2θ = 48.72°, d 1.869, I 31
- 2θ = 61.09°, d 1.517, I 31
- 2θ = 61.90°, d 1.499, I 18
- 2θ = 66.26°, d 1.411, I 18
- 2θ = 82.48°, d 1.169, I 13